No. 1
Ba8GeN2: theoretical powder X-ray diffraction pattern (CuKα), based on a cell relaxed with GGA-PBE.
No peak broadening, texture or thermal motion is included.

Structure:
a b c (Å): 16.7104 9.7960 7.3720
angles (deg): 90.00 94.52 90.00
Space group C2/m (No. 12)
Asymmetric unit:
Ba (0.1018, 0.2046, 0.2479) [8 per cell]
Ba (0.1684, 0.0000, 0.7767) [4 per cell]
Ba (0.1834, 0.5000, 0.7542) [4 per cell]
Ge (0.0000, 0.0000, 0.5000) [2 per cell]
N (0.1752, 0.0000, 0.1260) [4 per cell]

Peak list (10 most intense, 2θ from 10° to 90°, sorted by position)
d 8.444, 2θ 10.5, I 40, hkl 1 1 0; d 4.222, 2θ 21.0, I 22, hkl 2 2 0; d 3.752, 2θ 23.7, I 24, hkl 4 0 -1; d 3.726, 2θ 23.9, I 100, hkl 2 2 -1; d 3.675, 2θ 24.2, I 50, hkl 0 0 2; d 3.599, 2θ 24.7, I 52, hkl 2 2 1; d 3.507, 2θ 25.4, I 37, hkl 4 0 1; d 2.665, 2θ 33.6, I 22, hkl 3 3 -1; d 2.415, 2θ 37.2, I 30, hkl 6 2 0; d 2.084, 2θ 43.4, I 27, hkl 2 2 3

=====

No. 2
Ba7GeN6: theoretical powder X-ray diffraction pattern (CuKα), based on a cell relaxed with GGA-PBE.
No peak broadening, texture or thermal motion is included.

Structure:
a b c (Å): 12.5875 7.0273 14.6144
angles (deg): 90.00 90.00 90.00
Space group Pbcn (No. 60)
Asymmetric unit:
Ba (0.0000, 0.0702, 0.2500) [4 per cell]
Ba (0.0367, 0.2413, 0.5171) [8 per cell]
Ba (0.2111, 0.3986, 0.1280) [8 per cell]
Ba (0.2189, 0.3554, 0.8737) [8 per cell]
Ge (0.0000, 0.4157, 0.7500) [4 per cell]
N (0.0398, 0.4264, 0.3537) [8 per cell]
N (0.1188, 0.2533, 0.7108) [8 per cell]
N (0.1640, 0.1069, 0.0010) [8 per cell]

Peak list (10 most intense, 2θ from 10° to 90°, sorted by position)
d 3.297, 2θ 27.0, I 27, hkl 1 2 1; d 3.161, 2θ 28.2, I 100, hkl 2 0 4; d 3.145, 2θ 28.4, I 33, hkl 4 0 0; d 2.829, 2θ 31.6, I 21, hkl 2 2 2; d 2.818, 2θ 31.8, I 30, hkl 4 1 1; d 2.779, 2θ 32.2, I 23, hkl 1 2 3; d 2.649, 2θ 33.8, I 11, hkl 3 2 1; d 2.357, 2θ 38.2, I 11, hkl 3 2 3; d 1.858, 2θ 49.0, I 13, hkl 6 1 3; d 1.827, 2θ 49.9, I 11, hkl 0 0 8

=====

No. 3
Ba3Ge2N4: theoretical powder X-ray diffraction pattern (CuKα), based on a cell relaxed with GGA-PBE.
No peak broadening, texture or thermal motion is included.

Structure:
a b c (Å): 5.8711 16.5243 7.8487
angles (deg): 90.00 90.00 90.00
Space group Imma (No. 74)
Asymmetric unit:
Ba (0.0000, 0.1128, 0.0703) [8 per cell]
Ba (0.0000, 0.2500, 0.5961) [4 per cell]
Ge (0.0000, 0.0432, 0.6435) [8 per cell]
N (0.0000, 0.0715, 0.4060) [8 per cell]
N (0.2500, 0.0934, 0.7500) [8 per cell]

Peak list (10 most intense, 2θ from 10° to 90°, sorted by position)
d 3.201, 2θ 27.9, I 62, hkl 1 1 2; d 3.103, 2θ 28.8, I 100, hkl 1 4 1; d 3.046, 2θ 29.3, I 18, hkl 0 5 1; d 2.936, 2θ 30.5, I 46, hkl 2 0 0; d 2.754, 2θ 32.5, I 12, hkl 0 6 0; d 2.363, 2θ 38.1, I 20, hkl 0 3 3; d 1.841, 2θ 49.5, I 14, hkl 2 3 3; d 1.725, 2θ 53.1, I 18, hkl 3 4 1; d 1.559, 2θ 59.3, I 12, hkl 1 10 1; d 1.461, 2θ 63.7, I 12, hkl 1 7 4

=====

No. 4
Ba6Ge2N7: theoretical powder X-ray diffraction pattern (CuKα), based on a cell relaxed with GGA-PBE.
No peak broadening, texture or thermal motion is included.

Structure:
a b c (Å): 8.0494 8.0494 17.8451
angles (deg): 90.00 90.00 120.00
Space group R-3 (No. 148, hexagonal axes)
Asymmetric unit:
Ba (0.0201, 0.4167, 0.2486) [18 per cell]
Ge (0.0000, 0.0000, 0.2544) [6 per cell]
N (0.0000, 0.0000, 0.5000) [3 per cell]
N (0.0113, 0.2337, 0.7442) [18 per cell]

Peak list (10 most intense, 2θ from 10° to 90°, sorted by position)
d 3.333, 2θ 26.7, I 100, hkl 1 1 3; d 3.247, 2θ 27.5, I 66, hkl 2 0 2; d 2.974, 2θ 30.0, I 55, hkl 0 0 6; d 2.747, 2θ 32.6, I 46, hkl 0 2 4; d 2.607, 2θ 34.4, I 40, hkl 2 1 1; d 2.324, 2θ 38.8, I 21, hkl 3 0 0; d 2.120, 2θ 42.7, I 23, hkl 3 -2 5; d 1.922, 2θ 47.3, I 29, hkl 1 3 1; d 1.832, 2θ 49.8, I 31, hkl 3 0 6; d 1.700, 2θ 53.9, I 20, hkl 4 -1 5

=====

No. 5
BaY2GeN4: theoretical powder X-ray diffraction pattern (CuKα), based on a cell relaxed with GGA-PBE.
No peak broadening, texture or thermal motion is included.

Structure:
a b c (Å): 3.4666 12.2817 11.9084
angles (deg): 90.00 90.00 90.00
Space group Cmcm (No. 63)
Asymmetric unit:
Ba (0.0000, 0.0899, 0.2500) [4 per cell]
Y (0.0000, 0.3693, 0.0394) [8 per cell]
Ge (0.0000, 0.1813, 0.7500) [4 per cell]
N (0.0000, 0.0000, 0.0000) [4 per cell]
N (0.0000, 0.2578, 0.6171) [8 per cell]
N (0.0000, 0.4061, 0.2500) [4 per cell]

Peak list (10 most intense, 2θ from 10° to 90°, sorted by position)
d 3.334, 2θ 26.7, I 41, hkl 0 2 3; d 3.070, 2θ 29.1, I 33, hkl 0 4 0; d 2.976, 2θ 30.0, I 79, hkl 0 0 4; d 2.910, 2θ 30.7, I 100, hkl 1 1 2; d 2.583, 2θ 34.7, I 62, hkl 1 3 1; d 2.418, 2θ 37.2, I 59, hkl 1 3 2; d 1.789, 2θ 51.0, I 19, hkl 1 5 3; d 1.770, 2θ 51.6, I 30, hkl 1 3 5; d 1.733, 2θ 52.8, I 20, hkl 2 0 0; d 1.498, 2θ 62.0, I 20, hkl 2 0 4

=====

No. 6
BaNaGePt: theoretical powder X-ray diffraction pattern (CuKα), based on a cell relaxed with GGA-PBE.
No peak broadening, texture or thermal motion is included.

Structure:
a b c (Å): 7.9658 4.5912 6.4025
angles (deg): 90.00 114.47 90.00
Space group Cm (No. 8)
Asymmetric unit:
Ba (0.0000, 0.0000, 0.0000) [2 per cell]
Na (0.1963, 0.0000, 0.5900) [2 per cell]
Ge (0.4528, 0.0000, 0.3592) [2 per cell]
Pt (0.2862, 0.5000, 0.3599) [2 per cell]

Peak list (10 most intense, 2θ from 10° to 90°, sorted by position)
d 5.827, 2θ 15.2, I 78, hkl 0 0 1; d 3.880, 2θ 22.9, I 72, hkl 2 0 -1; d 2.942, 2θ 30.4, I 92, hkl 1 1 1; d 2.914, 2θ 30.7, I 24, hkl 0 0 2; d 2.627, 2θ 34.1, I 86, hkl 2 0 1; d 2.298, 2θ 39.2, I 100, hkl 0 2 0; d 2.137, 2θ 42.3, I 37, hkl 3 1 0; d 1.804, 2θ 50.6, I 36, hkl 3 1 -3; d 1.729, 2θ 52.9, I 24, hkl 4 0 -3; d 1.483, 2θ 62.6, I 44, hkl 3 1 2

=====

No. 7
Ba2NaGe2S6: theoretical powder X-ray diffraction pattern (CuKα), based on a cell relaxed with GGA-PBE.
No peak broadening, texture or thermal motion is included.

Structure:
a b c (Å): 11.8838 7.0303 7.6583
angles (deg): 90.00 109.64 90.00
Space group C2/m (No. 12)
Asymmetric unit:
Ba (0.1921, 0.0000, 0.1922) [4 per cell]
Na (0.0000, 0.0000, 0.5000) [2 per cell]
Ge (0.0233, 0.5000, 0.3278) [4 per cell]
S (0.0719, 0.2402, 0.8002) [8 per cell]
S (0.2134, 0.5000, 0.3671) [4 per cell]

Peak list (10 most intense, 2θ from 10° to 90°, sorted by position)
d 5.056, 2θ 17.5, I 100, hkl 1 1 -1; d 3.606, 2θ 24.7, I 52, hkl 0 0 2; d 3.515, 2θ 25.3, I 47, hkl 0 2 0; d 3.362, 2θ 26.5, I 48, hkl 1 1 -2; d 3.296, 2θ 27.1, I 52, hkl 3 1 0; d 2.966, 2θ 30.1, I 44, hkl 4 0 -1; d 2.593, 2θ 34.6, I 67, hkl 2 2 1; d 2.382, 2θ 37.8, I 42, hkl 1 1 -3; d 2.137, 2θ 42.3, I 31, hkl 3 1 2; d 1.721, 2θ 53.2, I 30, hkl 6 2 -1

=====

No. 8
BaNaSi2Ge: theoretical powder X-ray diffraction pattern (CuKα), based on a cell relaxed with GGA-PBE.
No peak broadening, texture or thermal motion is included.

Structure:
a b c (Å): 3.8936 5.3385 12.5105
angles (deg): 90.00 90.00 90.00
Space group Imm2 (No. 44)
Asymmetric unit:
Ba (0.0000, 0.0000, 0.0000) [2 per cell]
Na (0.0000, 0.5000, 0.7699) [2 per cell]
Si (0.0000, 0.0000, 0.6421) [2 per cell]
Si (0.0000, 0.5000, 0.2517) [2 per cell]
Ge (0.0000, 0.0000, 0.4494) [2 per cell]

Peak list (10 most intense, 2θ from 10° to 90°, sorted by position)
d 6.255, 2θ 14.2, I 53, hkl 0 0 2; d 3.286, 2θ 27.1, I 24, hkl 0 1 3; d 3.146, 2θ 28.4, I 39, hkl 1 1 0; d 3.128, 2θ 28.5, I 21, hkl 0 0 4; d 2.810, 2θ 31.8, I 100, hkl 1 1 2; d 2.669, 2θ 33.6, I 32, hkl 0 2 0; d 1.947, 2θ 46.7, I 20, hkl 2 0 0; d 1.738, 2θ 52.7, I 14, hkl 1 1 6; d 1.653, 2θ 55.6, I 19, hkl 2 0 4; d 1.567, 2θ 58.9, I 17, hkl 1 3 2

=====

No. 9
BaNiGe2Pd: theoretical powder X-ray diffraction pattern (CuKα), based on a cell relaxed with GGA-PBE.
No peak broadening, texture or thermal motion is included.

Structure:
a b c (Å): 4.3838 4.3838 11.3448
angles (deg): 90.00 90.00 90.00
Space group I-4m2 (No. 119)
Asymmetric unit:
Ba (0.0000, 0.0000, 0.0000) [2 per cell]
Ni (0.0000, 0.5000, 0.7500) [2 per cell]
Ge (0.0000, 0.0000, 0.3491) [4 per cell]
Pd (0.0000, 0.5000, 0.2500) [2 per cell]

Peak list (10 most intense, 2θ from 10° to 90°, sorted by position)
d 5.672, 2θ 15.6, I 15, hkl 0 0 2; d 2.863, 2θ 31.2, I 100, hkl 1 0 3; d 2.720, 2θ 32.9, I 74, hkl 1 1 2; d 2.192, 2θ 41.2, I 62, hkl 2 0 0; d 2.092, 2θ 43.2, I 14, hkl 1 1 4; d 1.740, 2θ 52.6, I 45, hkl 2 1 3; d 1.614, 2θ 57.1, I 41, hkl 1 1 6; d 1.550, 2θ 59.7, I 20, hkl 2 2 0; d 1.347, 2θ 69.8, I 16, hkl 3 1 2; d 1.118, 2θ 87.2, I 25, hkl 3 1 6

=====

No. 10
BaGe3O8: theoretical powder X-ray diffraction pattern (CuKα), based on a cell relaxed with GGA-PBE.
No peak broadening, texture or thermal motion is included.

Structure:
a b c (Å): 13.3514 4.9813 9.4471
angles (deg): 90.00 104.42 90.00
Space group C2/c (No. 15)
Asymmetric unit:
Ba (0.0000, 0.1432, 0.2500) [4 per cell]
Ge (0.1941, 0.2338, 0.6221) [8 per cell]
Ge (0.2500, 0.2500, 0.0000) [4 per cell]
O (0.0727, 0.3614, 0.6561) [8 per cell]
O (0.1316, 0.0731, 0.0285) [8 per cell]
O (0.1807, 0.4194, 0.4285) [8 per cell]
O (0.2299, 0.0653, 0.8106) [8 per cell]

Peak list (10 most intense, 2θ from 10° to 90°, sorted by position)
d 6.465, 2θ 13.7, I 47, hkl 2 0 0; d 3.361, 2θ 26.5, I 100, hkl 2 0 2; d 3.271, 2θ 27.3, I 82, hkl 3 1 -1; d 3.233, 2θ 27.6, I 40, hkl 4 0 0; d 2.902, 2θ 30.8, I 33, hkl 3 1 1; d 2.662, 2θ 33.7, I 99, hkl 1 1 -3; d 2.206, 2θ 40.9, I 33, hkl 2 2 1; d 2.066, 2θ 43.8, I 35, hkl 5 1 -3; d 1.779, 2θ 51.3, I 44, hkl 7 1 -1; d 1.653, 2θ 55.6, I 34, hkl 1 1 5

=====

No. 11
BaGe2O5: theoretical powder X-ray diffraction pattern (CuKα), based on a cell relaxed with GGA-PBE.
No peak broadening, texture or thermal motion is included.

Structure:
a b c (Å): 5.6157 10.0192 14.6297
angles (deg): 90.00 90.00 90.00
Space group Cmce (No. 64)
Asymmetric unit:
Ba (0.0000, 0.1619, 0.0816) [8 per cell]
Ge (0.0000, 0.0054, 0.6416) [8 per cell]
Ge (0.0000, 0.1731, 0.8166) [8 per cell]
O (0.0000, 0.0063, 0.7613) [8 per cell]
O (0.0000, 0.1660, 0.3984) [8 per cell]
O (0.2439, 0.0912, 0.9060) [16 per cell]
O (0.2500, 0.2485, 0.7500) [8 per cell]

Peak list (10 most intense, 2θ from 10° to 90°, sorted by position)
d 3.657, 2θ 24.3, I 32, hkl 0 0 4; d 3.494, 2θ 25.5, I 40, hkl 0 2 3; d 2.931, 2θ 30.5, I 86, hkl 1 1 4; d 2.817, 2θ 31.8, I 100, hkl 1 3 1; d 2.808, 2θ 31.9, I 56, hkl 2 0 0; d 2.474, 2θ 36.3, I 35, hkl 1 3 3; d 2.228, 2θ 40.5, I 36, hkl 0 4 3; d 2.189, 2θ 41.2, I 51, hkl 2 2 3; d 1.922, 2θ 47.3, I 24, hkl 1 1 7; d 1.435, 2θ 65.0, I 23, hkl 2 6 0